Record 1
This entry pairs a crystal structure of Co3P4O16 with its simulated X-ray diffraction stick pattern. Radiation: Cu Kα X-rays. Structure: DFT lattice parameters and positions (PBE+U).

Cell and atoms:
```
Co3P4O16
1.0
8.6470 0.0000 0.0000
0.0000 7.5193 0.0000
-3.4534 0.0000 8.4994
Co P O
6 8 32
direct
0.0014 0.0000 0.2417 Co
0.3943 0.3636 0.7360 Co
0.4964 0.4802 0.2548 Co
0.5036 0.9802 0.7452 Co
0.6057 0.8636 0.2640 Co
0.9986 0.5000 0.7583 Co
0.1300 0.1674 0.5796 P
0.1358 0.3105 0.0897 P
0.3558 0.7940 0.4144 P
0.3570 0.6946 0.9186 P
0.6430 0.1946 0.0814 P
0.6442 0.2940 0.5856 P
0.8642 0.8105 0.9103 P
0.8700 0.6674 0.4204 P
0.0302 0.3172 0.9084 O
0.0365 0.1798 0.4006 O
0.0458 0.4580 0.1448 O
0.0480 0.0244 0.6394 O
0.1437 0.1251 0.1637 O
0.1536 0.3556 0.6689 O
0.1785 0.6398 0.8937 O
0.1782 0.8617 0.3842 O
0.3162 0.3584 0.1068 O
0.3268 0.1459 0.6168 O
0.3527 0.6020 0.3497 O
0.3605 0.8799 0.8468 O
0.4479 0.9244 0.3442 O
0.4489 0.7877 0.5975 O
0.4526 0.5602 0.8575 O
0.4582 0.6956 0.1027 O
0.5418 0.1956 0.8973 O
0.5474 0.0602 0.1425 O
0.5511 0.2877 0.4025 O
0.5521 0.4244 0.6558 O
0.6395 0.3799 0.1532 O
0.6473 0.1020 0.6503 O
0.6732 0.6459 0.3832 O
0.6838 0.8584 0.8932 O
0.8215 0.1398 0.1063 O
0.8218 0.3617 0.6158 O
0.8464 0.8556 0.3311 O
0.8563 0.6251 0.8363 O
0.9520 0.5244 0.3606 O
0.9542 0.9580 0.8552 O
0.9635 0.6798 0.5994 O
0.9698 0.8172 0.0916 O
```

Principal peaks in the range 5° ≤ 2θ ≤ 70°, sorted by position:
| h k l | Position (°2θ) | intensity |
| --- | --- | --- |
| 1 1 -1 | 16.83 | 1000 |
| 2 0 0 | 22.19 | 417 |
| 0 1 2 | 24.06 | 635 |
| 2 1 0 | 25.19 | 331 |
| 2 1 -2 | 26.92 | 560 |
| 0 2 2 | 31.78 | 458 |



Record 2
This entry pairs a crystal structure of CoP3O9 with its simulated X-ray diffraction stick pattern. Radiation: Cu Kα X-rays. Structure: DFT lattice parameters and positions (PBE+U).

Cell and atoms:
```
CoP3O9
1.0
6.6203 0.0000 0.0000
-0.4684 6.8483 0.0000
-0.4500 -1.5031 7.1599
Co P O
2 6 18
direct
0.1573 0.0894 0.3588 Co
0.8427 0.9106 0.6412 Co
0.1495 0.1956 0.9437 P
0.3355 0.8768 0.7043 P
0.3492 0.4330 0.6964 P
0.6508 0.5670 0.3036 P
0.6645 0.1232 0.2957 P
0.8505 0.8044 0.0563 P
0.0462 0.8533 0.1833 O
0.1261 0.2431 0.1492 O
0.1665 0.9109 0.5652 O
0.1900 0.3243 0.5421 O
0.2797 0.3769 0.8913 O
0.2914 0.0115 0.9031 O
0.2954 0.6622 0.7484 O
0.4346 0.5934 0.3270 O
0.4497 0.0716 0.3297 O
0.5503 0.9284 0.6703 O
0.5654 0.4066 0.6730 O
0.7046 0.3378 0.2516 O
0.7086 0.9885 0.0969 O
0.7203 0.6231 0.1087 O
0.8100 0.6757 0.4579 O
0.8335 0.0891 0.4348 O
0.8739 0.7569 0.8508 O
0.9538 0.1467 0.8167 O
```

Principal peaks in the range 5° ≤ 2θ ≤ 70°, sorted by position:
| h k l | Position (°2θ) | intensity |
| --- | --- | --- |
| 0 1 0 | 13.21 | 872 |
| 1 -1 0 | 18.09 | 1000 |
| 1 1 -2 | 28.71 | 417 |
| 1 0 2 | 29.27 | 347 |
| 0 2 1 | 31.72 | 452 |
| 0 2 -2 | 32.64 | 506 |



Record 3
This entry pairs a crystal structure of Co5P8O28 with its simulated X-ray diffraction stick pattern. Radiation: Cu Kα X-rays. Structure: DFT lattice parameters and positions (PBE+U).

Cell and atoms:
```
Co5P8O28
1.0
6.5590 0.0000 0.0000
0.5648 8.1876 0.0000
0.1481 3.2170 9.6718
Co P O
5 8 28
direct
0.0000 0.0000 0.0000 Co
0.1603 0.3734 0.9396 Co
0.2244 0.3815 0.3839 Co
0.7756 0.6185 0.6161 Co
0.8397 0.6266 0.0604 Co
0.0209 0.2500 0.6829 P
0.2276 0.0520 0.2579 P
0.3095 0.6829 0.6964 P
0.3373 0.7018 0.9860 P
0.6627 0.2982 0.0140 P
0.6905 0.3171 0.3036 P
0.7724 0.9480 0.7421 P
0.9791 0.7500 0.3171 P
0.0493 0.9262 0.3300 O
0.0897 0.2065 0.8359 O
0.1358 0.5632 0.7492 O
0.1459 0.1415 0.1060 O
0.1632 0.6155 0.3475 O
0.1690 0.5690 0.0293 O
0.1922 0.3036 0.5798 O
0.2122 0.1884 0.3334 O
0.2477 0.8787 0.9869 O
0.2509 0.8519 0.5862 O
0.4009 0.7195 0.8297 O
0.4282 0.9514 0.2680 O
0.4657 0.3523 0.9316 O
0.4861 0.5977 0.6346 O
0.5139 0.4023 0.3654 O
0.5343 0.6477 0.0684 O
0.5718 0.0486 0.7320 O
0.5991 0.2805 0.1703 O
0.7491 0.1481 0.4138 O
0.7523 0.1213 0.0131 O
0.7878 0.8116 0.6666 O
0.8078 0.6964 0.4202 O
0.8310 0.4310 0.9707 O
0.8368 0.3845 0.6525 O
0.8541 0.8585 0.8940 O
0.8642 0.4368 0.2508 O
0.9103 0.7935 0.1641 O
0.9507 0.0738 0.6700 O
```

Principal peaks in the range 5° ≤ 2θ ≤ 70°, sorted by position:
| h k l | Position (°2θ) | intensity |
| --- | --- | --- |
| 0 0 1 | 9.14 | 649 |
| 1 0 0 | 13.53 | 766 |
| -1 1 1 | 18.75 | 438 |
| 1 2 2 | 27.31 | 571 |
| 0 0 3 | 27.67 | 1000 |
| 2 -1 0 | 30.35 | 482 |



Record 4
This entry pairs a crystal structure of Co3P4O16 with its simulated X-ray diffraction stick pattern. Radiation: Cu Kα X-rays. Structure: DFT lattice parameters and positions (PBE+U).

Cell and atoms:
```
Co3P4O16
1.0
7.5142 0.0000 0.0000
0.0000 7.5152 0.0000
-0.6272 0.0000 9.9430
Co P O
6 8 32
direct
0.1600 0.0000 0.3153 Co
0.2594 0.6258 0.3766 Co
0.2624 0.6438 0.8716 Co
0.7376 0.1438 0.1284 Co
0.7406 0.1258 0.6234 Co
0.8400 0.5000 0.6847 Co
0.0523 0.8089 0.1009 P
0.0627 0.8364 0.6129 P
0.4375 0.4503 0.1368 P
0.4465 0.4356 0.6415 P
0.5535 0.9356 0.3585 P
0.5625 0.9503 0.8632 P
0.9373 0.3364 0.3871 P
0.9477 0.3089 0.8991 P
0.0020 0.0023 0.1597 O
0.0224 0.5156 0.3581 O
0.0845 0.1902 0.4046 O
0.0948 0.1775 0.9047 O
0.1452 0.8341 0.4687 O
0.1528 0.8300 0.9722 O
0.2036 0.7825 0.2258 O
0.2181 0.7848 0.7116 O
0.2849 0.5067 0.0337 O
0.3029 0.4986 0.5360 O
0.3572 0.4432 0.2785 O
0.3591 0.4457 0.7787 O
0.3902 0.0676 0.3473 O
0.4134 0.0887 0.8394 O
0.4882 0.7463 0.3918 O
0.5005 0.2645 0.0960 O
0.4995 0.7645 0.9040 O
0.5118 0.2463 0.6082 O
0.5866 0.5887 0.1606 O
0.6098 0.5676 0.6527 O
0.6409 0.9457 0.2213 O
0.6428 0.9432 0.7215 O
0.6971 0.9986 0.4640 O
0.7151 0.0067 0.9663 O
0.7819 0.2848 0.2884 O
0.7964 0.2825 0.7742 O
0.8472 0.3300 0.0278 O
0.8548 0.3341 0.5313 O
0.9052 0.6775 0.0953 O
0.9155 0.6902 0.5954 O
0.9776 0.0156 0.6419 O
0.9980 0.5023 0.8403 O
```

Principal peaks in the range 5° ≤ 2θ ≤ 70°, sorted by position:
| h k l | Position (°2θ) | intensity |
| --- | --- | --- |
| 1 1 0 | 16.70 | 1000 |
| 1 0 2 | 22.06 | 398 |
| 1 1 -2 | 23.97 | 584 |
| 1 1 2 | 25.08 | 330 |
| 2 1 0 | 26.56 | 647 |
| 1 2 -2 | 31.72 | 402 |



Record 5
This entry pairs a crystal structure of CoP3O9 with its simulated X-ray diffraction stick pattern. Radiation: Cu Kα X-rays. Structure: DFT lattice parameters and positions (PBE+U).

Cell and atoms:
```
CoP3O9
1.0
8.2466 0.0000 0.0000
0.0000 8.3942 0.0000
0.0000 0.0000 8.3998
Co P O
4 12 36
direct
0.1335 0.1449 0.3519 Co
0.3665 0.8551 0.8519 Co
0.6335 0.3551 0.6481 Co
0.8665 0.6449 0.1481 Co
0.0330 0.6807 0.8168 P
0.1735 0.5129 0.3075 P
0.2109 0.1874 0.9506 P
0.2891 0.8126 0.4506 P
0.3265 0.4871 0.8075 P
0.4670 0.3193 0.3168 P
0.5330 0.8193 0.1832 P
0.6735 0.9871 0.6925 P
0.7109 0.3126 0.0494 P
0.7891 0.6874 0.5494 P
0.8265 0.0129 0.1925 P
0.9670 0.1807 0.6832 P
0.0470 0.2231 0.8509 O
0.0881 0.3695 0.3741 O
0.0980 0.5983 0.1673 O
0.1052 0.1307 0.5766 O
0.1393 0.8154 0.8739 O
0.1430 0.5322 0.7600 O
0.1599 0.1527 0.1174 O
0.1782 0.9205 0.3574 O
0.2064 0.6380 0.4487 O
0.2936 0.3620 0.9487 O
0.3218 0.0795 0.8574 O
0.3401 0.8473 0.6174 O
0.3570 0.4678 0.2600 O
0.3607 0.1846 0.3739 O
0.3948 0.8693 0.0766 O
0.4020 0.4017 0.6673 O
0.4119 0.6305 0.8741 O
0.4530 0.7769 0.3509 O
0.5470 0.2769 0.1491 O
0.5881 0.1305 0.6259 O
0.5980 0.9017 0.8327 O
0.6052 0.3693 0.4234 O
0.6393 0.6846 0.1261 O
0.6430 0.9678 0.2400 O
0.6599 0.3473 0.8826 O
0.6782 0.5795 0.6426 O
0.7064 0.8620 0.5513 O
0.7936 0.1380 0.0513 O
0.8218 0.4205 0.1426 O
0.8401 0.6527 0.3826 O
0.8570 0.0322 0.7400 O
0.8607 0.3154 0.6261 O
0.8948 0.6307 0.9234 O
0.9020 0.0983 0.3327 O
0.9119 0.8695 0.1259 O
0.9530 0.7231 0.6491 O
```

Principal peaks in the range 5° ≤ 2θ ≤ 70°, sorted by position:
| h k l | Position (°2θ) | intensity |
| --- | --- | --- |
| 1 0 2 | 23.78 | 1000 |
| 2 1 0 | 24.05 | 174 |
| 1 2 1 | 26.07 | 221 |
| 2 1 1 | 26.31 | 183 |
| 1 3 0 | 33.79 | 419 |
| 3 0 1 | 34.33 | 173 |



Q: Which formula does entry 5 have?
A: CoP3O9